Entry 1:
The following is a simulated powder diffractogram of CaYNi2H8. It was derived from the PBE geometry in Alexandria, using Cu Kα.
Intensities are scaled so that the largest is 100.

```
CaYNi2H8
1.0
2.2820 1.3175 6.0233
-2.2820 1.3175 6.0233
0.0000 -2.6350 6.0233
Ca Y Ni H
1 1 2 8
Direct
0.0000 0.0000 0.0000
0.5000 0.5000 0.5000
0.2291 0.2291 0.2291
0.7709 0.7709 0.7709
0.0785 0.5539 0.5539
0.1422 0.1422 0.1422
0.4461 0.4461 0.9215
0.4461 0.9215 0.4461
0.5539 0.0785 0.5539
0.5539 0.5539 0.0785
0.8578 0.8578 0.8578
0.9215 0.4461 0.4461
```

Principal peaks in the range 5° ≤ 2θ ≤ 70°, by angle:
two_theta	d (Å)	intensity
14.71	6.023	29
30.04	2.975	100
39.49	2.282	55
41.79	2.161	15
42.36	2.134	14
46.29	1.961	20
50.40	1.811	22
61.09	1.517	7
62.44	1.487	8
65.85	1.418	19


Entry 2:
The following is a simulated powder diffractogram of AcNdBiO6. It was derived from the PBE geometry in Alexandria, using Cu Kα.
Intensities are scaled so that the largest is 100.

```
AcNdBiO6
1.0
5.9762 0.0000 0.0000
-2.9881 5.1755 0.0000
0.0000 0.0000 5.1939
Ac Nd Bi O
1 1 1 6
Direct
0.0000 0.0000 0.0000
0.3333 0.6667 0.5000
0.6667 0.3333 0.5000
0.3646 0.0297 0.7243
0.3646 0.3348 0.2757
0.6652 0.0297 0.2757
0.6652 0.6354 0.7243
0.9703 0.3348 0.7243
0.9703 0.6354 0.2757
```

Principal peaks in the range 5° ≤ 2θ ≤ 70°, by angle:
two_theta	d (Å)	intensity
24.28	3.666	100
29.90	2.988	50
34.57	2.594	15
38.88	2.316	30
46.32	1.960	43
49.81	1.831	30
53.09	1.725	16
56.01	1.642	10
64.85	1.438	18
67.72	1.384	12


Entry 3:
The following is a simulated powder diffractogram of Ac2DyS4. It was derived from the PBE geometry in Alexandria, using Cu Kα.
Intensities are scaled so that the largest is 100.

```
Ac2DyS4
1.0
7.0739 0.0000 0.0000
0.0000 7.8224 0.0000
0.0000 0.0000 14.5596
Ac Dy S
8 4 16
Direct
0.0035 0.0988 0.1417
0.0035 0.4012 0.6417
0.4965 0.5988 0.1417
0.4965 0.9012 0.6417
0.5035 0.0988 0.3583
0.5035 0.4012 0.8583
0.9965 0.5988 0.3583
0.9965 0.9012 0.8583
0.0000 0.0000 0.5000
0.0000 0.5000 0.0000
0.5000 0.0000 0.0000
0.5000 0.5000 0.5000
0.1251 0.5450 0.8214
0.1251 0.9550 0.3214
0.1849 0.6985 0.5417
0.1849 0.8015 0.0417
0.3151 0.1985 0.5417
0.3151 0.3015 0.0417
0.3749 0.0450 0.8214
0.3749 0.4550 0.3214
0.6251 0.5450 0.6786
0.6251 0.9550 0.1786
0.6849 0.6985 0.9583
0.6849 0.8015 0.4583
0.8151 0.1985 0.9583
0.8151 0.3015 0.4583
0.8749 0.0450 0.6786
0.8749 0.4550 0.1786
```

Principal peaks in the range 5° ≤ 2θ ≤ 70°, by angle:
two_theta	d (Å)	intensity
20.87	4.256	52
22.74	3.911	16
23.55	3.777	24
24.99	3.563	100
25.18	3.537	41
34.75	2.582	26
35.25	2.546	19
38.55	2.336	16
38.83	2.319	35
44.25	2.047	35


Entry 4:
The following is a simulated powder diffractogram of Ba12InPt5. It was derived from the PBE geometry in Alexandria, using Cu Kα.
Intensities are scaled so that the largest is 100.

```
Ba12InPt5
1.0
4.0835 -7.0765 0.0000
4.0835 7.0765 0.0000
-2.6885 0.0000 15.0316
Ba In Pt
12 1 5
Direct
0.0384 0.4017 0.1178
0.1294 0.1294 0.3873
0.2023 0.5353 0.6080
0.3248 0.3248 0.8822
0.4017 0.0384 0.1178
0.4647 0.7977 0.3920
0.5353 0.2023 0.6080
0.5983 0.9616 0.8822
0.6752 0.6752 0.1178
0.7977 0.4647 0.3920
0.8706 0.8706 0.6127
0.9616 0.5983 0.8822
0.0000 0.0000 0.0000
0.1651 0.8349 0.5000
0.3333 0.6667 0.0000
0.5000 0.5000 0.5000
0.6667 0.3333 0.0000
0.8349 0.1651 0.5000
```

Principal peaks in the range 5° ≤ 2θ ≤ 70°, by angle:
two_theta	d (Å)	intensity
11.77	7.516	100
23.92	3.721	60
25.83	3.450	51
26.96	3.307	51
29.51	3.027	50
35.49	2.529	51
38.16	2.358	71
38.82	2.320	24
40.07	2.250	31
63.25	1.470	17


Entry 5:
The following is a simulated powder diffractogram of NaNpSe. It was derived from the PBE geometry in Alexandria, using Cu Kα.
Intensities are scaled so that the largest is 100.

```
NaNpSe
1.0
-1.7294 1.7294 11.8667
1.7294 -1.7294 11.8667
1.7294 1.7294 -11.8667
Na Np Se
2 2 2
Direct
0.0739 0.0739 0.0000
0.9261 0.9261 0.0000
0.2292 0.2292 0.0000
0.7708 0.7708 0.0000
0.3486 0.3486 0.0000
0.6514 0.6514 0.0000
```

Principal peaks in the range 5° ≤ 2θ ≤ 70°, by angle:
two_theta	d (Å)	intensity
7.45	11.867	100
14.93	5.933	7
32.02	2.795	4
36.75	2.446	11
37.13	2.421	15
37.55	2.395	10
43.14	2.097	8
52.95	1.729	4
53.55	1.711	4
66.43	1.407	5


Entry 6:
The following is a simulated powder diffractogram of Sc10Bi4C3. It was derived from the PBE geometry in Alexandria, using Cu Kα.
Intensities are scaled so that the largest is 100.

```
Sc10Bi4C3
1.0
-2.2780 2.2780 16.7365
2.2780 -2.2780 16.7365
2.2780 2.2780 -16.7365
Sc Bi C
10 4 3
Direct
0.0000 0.5000 0.5000
0.0685 0.0685 0.0000
0.1365 0.6365 0.5000
0.2037 0.2037 0.0000
0.3635 0.8635 0.5000
0.5000 0.0000 0.5000
0.6365 0.1365 0.5000
0.7963 0.7963 0.0000
0.8635 0.3635 0.5000
0.9315 0.9315 0.0000
0.2965 0.2965 0.0000
0.4317 0.4317 0.0000
0.5683 0.5683 0.0000
0.7035 0.7035 0.0000
0.0000 0.0000 0.0000
0.1373 0.1373 0.0000
0.8627 0.8627 0.0000
```

Principal peaks in the range 5° ≤ 2θ ≤ 70°, by angle:
two_theta	d (Å)	intensity
19.67	4.514	47
27.03	3.299	73
27.69	3.222	50
32.08	2.790	29
35.16	2.553	100
39.56	2.278	57
45.28	2.003	34
48.57	1.874	32
55.74	1.649	26
68.93	1.362	28


Entry 7:
The following is a simulated powder diffractogram of SrIn3Si. It was derived from the PBE geometry in Alexandria, using Cu Kα.
Intensities are scaled so that the largest is 100.

```
SrIn3Si
1.0
5.3836 0.0000 0.0000
0.0000 5.3836 0.0000
0.0000 0.0000 5.3836
Sr In Si
1 3 1
Direct
0.0000 0.0000 0.0000
0.0000 0.5000 0.5000
0.5000 0.0000 0.5000
0.5000 0.5000 0.0000
0.5000 0.5000 0.5000
```

Principal peaks in the range 5° ≤ 2θ ≤ 70°, by angle:
two_theta	d (Å)	intensity
16.47	5.384	6
28.72	3.108	100
33.28	2.692	66
37.35	2.408	3
47.79	1.903	47
50.88	1.795	1
56.71	1.623	43
59.48	1.554	16
62.17	1.493	1
69.89	1.346	7


Entry 8:
The following is a simulated powder diffractogram of Tl3InPb4. It was derived from the PBE geometry in Alexandria, using Cu Kα.
Intensities are scaled so that the largest is 100.

```
Tl3InPb4
1.0
7.1811 0.0000 0.0000
0.0000 9.4360 0.0000
0.0000 0.0000 7.2551
Tl In Pb
6 2 8
Direct
0.0000 0.0000 0.0000
0.2500 0.2538 0.2500
0.2500 0.7462 0.7500
0.5000 0.0000 0.5000
0.7500 0.2538 0.2500
0.7500 0.7462 0.7500
0.0000 0.5000 0.0000
0.5000 0.5000 0.5000
0.0000 0.0000 0.5000
0.0000 0.5000 0.5000
0.2500 0.2546 0.7500
0.2500 0.7454 0.2500
0.5000 0.0000 0.0000
0.5000 0.5000 0.0000
0.7500 0.2546 0.7500
0.7500 0.7454 0.2500
```

Principal peaks in the range 5° ≤ 2θ ≤ 70°, by angle:
two_theta	d (Å)	intensity
31.10	2.876	100
31.31	2.857	98
35.17	2.552	73
38.15	2.359	29
50.31	1.814	13
50.86	1.795	13
52.85	1.732	46
60.46	1.531	31
60.83	1.523	31
64.59	1.443	13